La3NdGa4O12: calculated powder XRD pattern (copper Kα), based on a crystal structure in the Materials Project, relaxed with PBE.
Lines closer than 0.1° are merged.

Structure:
Cell lengths 5.5098, 5.5098, 9.6704 Å; angles 107.01, 107.01, 60.89 degrees
Sites, in units of the cell vectors:
La: 0.0000 0.0000 0.0000
La: 0.2504 0.2487 0.7490
La: 0.7513 0.7496 0.2510
Nd: 0.5020 0.4980 0.5000
Ga: 0.1260 0.1239 0.3755
Ga: 0.3759 0.3744 0.1256
Ga: 0.6256 0.6241 0.8744
Ga: 0.8761 0.8740 0.6245
O: 0.2874 0.7129 0.2871
O: 0.2871 0.7126 0.7129
O: 0.3205 0.1833 0.2523
O: 0.4329 0.5671 0.0000
O: 0.4666 0.0324 0.9660
O: 0.4666 0.0325 0.5337
O: 0.7862 0.2142 0.2157
O: 0.7858 0.2138 0.7843
O: 0.8167 0.6795 0.7477
O: 0.9263 0.0737 0.5000
O: 0.9675 0.5334 0.4663
O: 0.9676 0.5334 0.0340

Top 6 peaks for 2θ = 10–90°, low angle first:
2θ (°), I (rel.)
32.06, 97
32.51, 100
46.31, 57
57.15, 24
57.43, 41
58.28, 19